No. 1
Theoretical X-ray powder pattern
Compound: NiRu2O6
Radiation: CuKα
Structure: the PBE+U geometry in Alexandria

Atomic structure:
Unit cell a=8.6131 b=8.6131 c=4.3414 alpha=90.00 beta=90.00 gamma=120.00
Space group P321 (No. 150)
Asymmetric unit:
Ni (0.0000, 0.0000, 0.0000)
Ni (0.3333, 0.6667, 0.5015)
Ru (0.0000, 0.3217, 0.5000)
Ru (0.0000, 0.6556, 0.0000)
O (0.1051, 0.5440, 0.7478)
O (0.1104, 0.8822, 0.7586)
O (0.2139, 0.7764, 0.2566)

The 6 most intense peaks (10° ≤ 2θ ≤ 90°), low angle first:
| index | d/Å | I (rel.) |
| --- | --- | --- |
| 1 1 1 | 3.057 | 100 |
| 3 0 0 | 2.486 | 42 |
| 2 2 1 | 1.929 | 25 |
| 3 0 2 | 1.635 | 45 |
| 4 1 1 | 1.524 | 23 |
| 3 3 0 | 1.436 | 17 |


No. 2
Theoretical X-ray powder pattern
Compound: Ni2RuO4
Radiation: CuKα
Structure: the PBE+U geometry in Alexandria

Atomic structure:
Unit cell a=5.939 b=8.771 c=2.992 alpha=90.00 beta=90.00 gamma=90.00
Space group Cmmm (No. 65)
Asymmetric unit:
Ni (0.250, 0.250, 0.000)
Ru (0.000, 0.000, 0.500)
O (0.000, 0.233, 0.500)
O (0.226, 0.000, 0.000)

The 6 most intense peaks (10° ≤ 2θ ≤ 90°), low angle first:
| index | d/Å | I (rel.) |
| --- | --- | --- |
| 1 1 0 | 4.918 | 100 |
| 0 2 1 | 2.471 | 37 |
| 2 2 0 | 2.459 | 38 |
| 0 4 0 | 2.193 | 40 |
| 2 0 1 | 2.108 | 71 |
| 2 4 1 | 1.519 | 44 |


No. 3
Theoretical X-ray powder pattern
Compound: Sm2NiRuO6
Radiation: CuKα
Structure: the PBE+U geometry in Alexandria

Atomic structure:
Unit cell a=5.380 b=5.806 c=9.407 alpha=90.00 beta=124.66 gamma=90.00
Space group P2_1/c (No. 14)
Asymmetric unit:
Sm (0.228, 0.073, 0.251)
Ni (0.500, 0.000, 0.000)
Ru (0.000, 0.000, 0.500)
O (0.130, 0.200, 0.944)
O (0.253, 0.694, 0.947)
O (0.355, 0.036, 0.746)

The 6 most intense peaks (10° ≤ 2θ ≤ 90°), low angle first:
| index | d/Å | I (rel.) |
| --- | --- | --- |
| 1 1 -2 | 3.516 | 19 |
| 0 2 0 | 2.903 | 19 |
| 1 1 1 | 2.763 | 100 |
| 2 0 -2 | 2.690 | 25 |
| 2 2 -2 | 1.973 | 17 |
| 0 0 4 | 1.935 | 14 |


No. 4
Theoretical X-ray powder pattern
Compound: SrNi2Ru2O7
Radiation: CuKα
Structure: the PBE+U geometry in Alexandria

Atomic structure:
Unit cell a=4.059 b=4.059 c=16.822 alpha=90.00 beta=90.00 gamma=90.00
Space group I4/mmm (No. 139)
Asymmetric unit:
Sr (0.000, 0.000, 0.000)
Ni (0.000, 0.500, 0.250)
Ru (0.000, 0.000, 0.385)
O (0.000, 0.000, 0.265)
O (0.000, 0.000, 0.500)
O (0.000, 0.500, 0.120)

The 6 most intense peaks (10° ≤ 2θ ≤ 90°), low angle first:
| index | d/Å | I (rel.) |
| --- | --- | --- |
| 1 0 3 | 3.288 | 100 |
| 1 1 2 | 2.716 | 80 |
| 1 0 5 | 2.590 | 80 |
| 0 0 8 | 2.103 | 46 |
| 2 0 0 | 2.030 | 94 |
| 2 0 8 | 1.460 | 51 |


No. 5
Theoretical X-ray powder pattern
Compound: NiSbO2
Radiation: CuKα
Structure: the PBE+U geometry in Alexandria

Atomic structure:
Unit cell a=5.131 b=4.969 c=5.136 alpha=90.00 beta=118.49 gamma=90.00
Space group P2_1 (No. 4)
Asymmetric unit:
Ni (0.020, 0.000, 0.481)
Sb (0.333, 0.499, 0.167)
O (0.006, 0.279, 0.176)
O (0.324, 0.719, 0.493)

The 6 most intense peaks (10° ≤ 2θ ≤ 90°), low angle first:
| index | d/Å | I (rel.) |
| --- | --- | --- |
| 0 1 1 | 3.340 | 100 |
| 1 1 -1 | 3.299 | 63 |
| 1 0 1 | 2.625 | 38 |
| 2 0 -1 | 2.566 | 65 |
| 2 1 0 | 2.054 | 38 |
| 1 2 -2 | 1.785 | 61 |


No. 6
Theoretical X-ray powder pattern
Compound: SmNi3Se4O12
Radiation: CuKα
Structure: the PBE+U geometry in Alexandria

Atomic structure:
Unit cell a=10.6448 b=10.6448 c=7.8601 alpha=90.00 beta=90.00 gamma=120.00
Space group R32 (No. 155, hexagonal axes)
Asymmetric unit:
Sm (0.0000, 0.0000, 0.0000)
Ni (0.0000, 0.5781, 0.0000)
Se (0.0000, 0.0000, 0.5000)
Se (0.0000, 0.3927, 0.5000)
O (0.0000, 0.5545, 0.5000)
O (0.0000, 0.8254, 0.5000)
O (0.0564, 0.1904, 0.1971)

The 6 most intense peaks (10° ≤ 2θ ≤ 90°), low angle first:
| index | d/Å | I (rel.) |
| --- | --- | --- |
| 2 1 1 | 3.185 | 43 |
| 3 0 0 | 3.073 | 58 |
| 2 0 2 | 2.991 | 100 |
| 1 3 1 | 2.431 | 32 |
| 1 1 3 | 2.351 | 33 |
| 2 3 2 | 1.862 | 38 |